# 1
The following is a simulated PXRD pattern of Ga2FeO4. It was derived from DFT lattice parameters and positions (PBE+U), using Cu Kα (λ = 1.5418 Å).

Peak list (6 most intense, 2θ = 10–90°, in order of rising 2θ)
2θ (°), I (rel.)
29.84, 40
34.92, 100
35.20, 40
35.56, 61
56.24, 25
62.00, 57

Cell lengths 5.989, 5.989, 5.989 Å; angles 121.26, 119.06, 89.73 degrees
Positions (direct):
Ga  0.000  0.000  0.000
Ga  0.386  0.636  0.750
Ga  0.500  0.000  0.500
Ga  0.614  0.364  0.250
Fe  0.000  0.000  0.500
Fe  0.000  0.500  0.000
O  0.233  0.235  0.998
O  0.253  0.238  0.486
O  0.253  0.767  0.014
O  0.263  0.765  0.498
O  0.737  0.235  0.502
O  0.747  0.233  0.986
O  0.747  0.762  0.514
O  0.767  0.765  0.002


# 2
The following is a simulated PXRD pattern of Li4Mn3Nb3Sb2O16. It was derived from DFT lattice parameters and positions (PBE+U), using Cu Kα (λ = 1.5418 Å).

Peak list (6 most intense, 2θ = 10–90°, in order of rising 2θ)
2θ (°), I (rel.)
16.82, 71
18.10, 68
18.50, 100
23.63, 49
30.35, 63
34.37, 69

Cell lengths 6.347, 6.347, 10.542 Å; angles 90.31, 90.31, 58.06 degrees
Positions (direct):
Li  0.000  0.000  0.000
Li  0.004  0.004  0.485
Li  0.332  0.332  0.586
Li  0.656  0.656  0.096
Mn  0.173  0.665  0.271
Mn  0.665  0.173  0.271
Mn  0.837  0.837  0.780
Nb  0.177  0.177  0.256
Nb  0.341  0.839  0.769
Nb  0.839  0.341  0.769
Sb  0.358  0.358  0.990
Sb  0.678  0.678  0.464
O  0.005  0.005  0.182
O  0.006  0.006  0.670
O  0.008  0.468  0.157
O  0.139  0.139  0.880
O  0.178  0.694  0.893
O  0.327  0.327  0.372
O  0.330  0.849  0.384
O  0.468  0.008  0.157
O  0.476  0.476  0.142
O  0.482  0.988  0.678
O  0.511  0.511  0.671
O  0.651  0.651  0.881
O  0.694  0.178  0.893
O  0.845  0.845  0.379
O  0.849  0.330  0.384
O  0.988  0.482  0.678


# 3
The following is a simulated PXRD pattern of MgMn4O8. It was derived from DFT lattice parameters and positions (PBE+U), using Cu Kα (λ = 1.5418 Å).

Peak list (6 most intense, 2θ = 10–90°, in order of rising 2θ)
2θ (°), I (rel.)
12.39, 87
12.75, 73
16.70, 81
18.85, 100
33.78, 61
35.38, 66

Cell lengths 9.417, 6.039, 13.990 Å; angles 90.00, 130.64, 90.00 degrees
Positions (direct):
Mg  0.177  0.131  0.411
Mg  0.177  0.369  0.911
Mg  0.823  0.631  0.089
Mg  0.823  0.869  0.589
Mn  0.180  0.113  0.603
Mn  0.180  0.387  0.103
Mn  0.185  0.617  0.591
Mn  0.185  0.883  0.091
Mn  0.453  0.634  0.387
Mn  0.453  0.866  0.887
Mn  0.472  0.134  0.394
Mn  0.472  0.366  0.894
Mn  0.528  0.634  0.106
Mn  0.528  0.866  0.606
Mn  0.547  0.134  0.113
Mn  0.547  0.366  0.613
Mn  0.815  0.117  0.909
Mn  0.815  0.383  0.409
Mn  0.820  0.613  0.897
Mn  0.820  0.887  0.397
O  0.073  0.595  0.958
O  0.073  0.905  0.458
O  0.079  0.145  0.974
O  0.079  0.355  0.474
O  0.253  0.638  0.208
O  0.253  0.862  0.708
O  0.266  0.146  0.218
O  0.266  0.354  0.718
O  0.344  0.601  0.913
O  0.344  0.899  0.413
O  0.355  0.150  0.925
O  0.355  0.350  0.425
O  0.394  0.107  0.609
O  0.394  0.393  0.109
O  0.408  0.617  0.611
O  0.408  0.883  0.111
O  0.592  0.117  0.889
O  0.592  0.383  0.389
O  0.606  0.607  0.891
O  0.606  0.893  0.391
O  0.645  0.650  0.575
O  0.645  0.850  0.075
O  0.656  0.101  0.587
O  0.656  0.399  0.087
O  0.734  0.646  0.282
O  0.734  0.854  0.782
O  0.747  0.138  0.292
O  0.747  0.362  0.792
O  0.921  0.645  0.526
O  0.921  0.855  0.026
O  0.927  0.095  0.542
O  0.927  0.405  0.042


# 4
The following is a simulated PXRD pattern of RbCrH4C4O10. It was derived from DFT lattice parameters and positions (PBE+U), using Cu Kα (λ = 1.5418 Å).

Peak list (6 most intense, 2θ = 10–90°, in order of rising 2θ)
2θ (°), I (rel.)
19.57, 32
19.92, 100
25.09, 19
29.97, 35
31.26, 28
47.36, 19

Cell lengths 5.007, 5.007, 10.318 Å; angles 91.19, 91.19, 93.77 degrees
Positions (direct):
Rb  0.000  0.000  0.000
Cr  0.500  0.500  0.500
H  0.043  0.268  0.398
H  0.268  0.043  0.398
H  0.732  0.957  0.602
H  0.957  0.732  0.602
C  0.265  0.479  0.747
C  0.479  0.265  0.747
C  0.521  0.735  0.253
C  0.735  0.521  0.253
O  0.123  0.510  0.841
O  0.216  0.216  0.438
O  0.252  0.611  0.638
O  0.389  0.748  0.362
O  0.490  0.877  0.159
O  0.510  0.123  0.841
O  0.611  0.252  0.638
O  0.748  0.389  0.362
O  0.784  0.784  0.562
O  0.877  0.490  0.159


# 5
The following is a simulated PXRD pattern of Li2FeNi3O8. It was derived from DFT lattice parameters and positions (PBE+U), using Cu Kα (λ = 1.5418 Å).

Peak list (6 most intense, 2θ = 10–90°, in order of rising 2θ)
2θ (°), I (rel.)
18.79, 100
36.56, 16
36.69, 16
43.59, 18
44.51, 17
44.74, 17

Cell lengths 8.102, 8.141, 8.305 Å; angles 89.88, 89.76, 89.97 degrees
Positions (direct):
Li  0.000  0.000  0.000
Li  0.001  0.498  0.497
Li  0.251  0.256  0.745
Li  0.252  0.759  0.243
Li  0.501  0.003  0.499
Li  0.501  0.504  0.001
Li  0.750  0.756  0.741
Li  0.752  0.253  0.244
Fe  0.124  0.882  0.621
Fe  0.377  0.378  0.369
Fe  0.628  0.131  0.875
Fe  0.876  0.631  0.124
Ni  0.121  0.124  0.362
Ni  0.128  0.375  0.113
Ni  0.130  0.622  0.870
Ni  0.373  0.128  0.117
Ni  0.378  0.626  0.625
Ni  0.378  0.875  0.872
Ni  0.621  0.882  0.129
Ni  0.626  0.635  0.377
Ni  0.628  0.382  0.621
Ni  0.873  0.880  0.372
Ni  0.875  0.133  0.618
Ni  0.879  0.378  0.874
O  0.105  0.886  0.378
O  0.108  0.123  0.613
O  0.112  0.391  0.885
O  0.127  0.608  0.099
O  0.128  0.367  0.339
O  0.138  0.852  0.866
O  0.143  0.147  0.116
O  0.146  0.629  0.642
O  0.354  0.129  0.346
O  0.359  0.360  0.125
O  0.360  0.624  0.851
O  0.373  0.857  0.644
O  0.382  0.898  0.100
O  0.389  0.396  0.610
O  0.393  0.131  0.891
O  0.394  0.631  0.396
O  0.604  0.111  0.122
O  0.611  0.615  0.605
O  0.615  0.895  0.881
O  0.621  0.405  0.371
O  0.626  0.650  0.148
O  0.640  0.152  0.628
O  0.643  0.864  0.371
O  0.650  0.369  0.874
O  0.857  0.646  0.370
O  0.863  0.147  0.870
O  0.864  0.874  0.146
O  0.866  0.368  0.647
O  0.878  0.896  0.599
O  0.892  0.110  0.372
O  0.895  0.611  0.877
O  0.897  0.383  0.101